[1]
Theoretical XRD peak list
Compound: Ba5Lu8Ni4O21
Radiation: Cu Kα (λ = 1.5418 Å)
Structure: a DFT-relaxed cell (PBE+U, the Materials Project)
Neutral-atom scattering factors, no anomalous dispersion.

Main lines, most intense first (5° ≤ 2θ ≤ 70°):
(hkl)	2theta	I (rel.)
4 1 1	31.38	100
2 3 1	28.43	49
0 0 2	31.64	42
4 3 1	36.64	36
2 4 2	43.70	20
4 1 3	56.19	19
1 5 2	46.81	19
2 4 0	29.35	18
3 5 0	38.58	14
1 1 0	9.19	14

Atomic structure:
Cell lengths 13.6076, 13.6076, 5.6557 Å; angles 90.00, 90.00, 90.00 degrees
Space group I4/m (No. 87)
Inequivalent atoms, fractional coordinates:
Ba  0.0000  0.0000  0.0000 [2 per cell]
Ba  0.0381  0.3606  0.5000 [8 per cell]
Lu  0.0889  0.8581  0.5000 [8 per cell]
Lu  0.1676  0.2502  0.0000 [8 per cell]
Ni  0.0409  0.7563  0.0000 [8 per cell]
O  0.0000  0.0000  0.5000 [2 per cell]
O  0.0401  0.3672  0.0000 [8 per cell]
O  0.0487  0.1777  0.2514 [16 per cell]
O  0.1483  0.7433  0.2487 [16 per cell]



[2]
Theoretical XRD peak list
Compound: Ba2MgMnMoO6
Radiation: Cu Kα (λ = 1.5418 Å)
Structure: a DFT-relaxed cell (PBE+U, the Materials Project)
Neutral-atom scattering factors, no anomalous dispersion.

Main lines, most intense first (5° ≤ 2θ ≤ 70°):
(hkl)	2theta	I (rel.)
1 2 1	29.20	100
1 1 2	31.88	82
2 1 0	29.53	48
0 1 -1	31.04	43
0 1 1	17.62	36
1 -2 0	52.39	22
2 3 3	54.03	21
3 2 2	53.89	20
3 0 -1	52.19	19
2 0 -2	40.81	18

Atomic structure:
Cell lengths 6.0490, 6.1136, 6.5232 Å; angles 63.35, 89.95, 60.47 degrees
Space group P1 (No. 1)
Inequivalent atoms, fractional coordinates:
Ba  0.0000  0.0000  0.0000 [1 per cell]
Ba  0.4198  0.1561  0.2609 [1 per cell]
Mg  0.7958  0.4048  0.3856 [1 per cell]
Mn  0.6150  0.7676  0.8447 [1 per cell]
Mo  0.2101  0.5760  0.6293 [1 per cell]
O  0.4400  0.5843  0.3972 [1 per cell]
O  0.4417  0.1083  0.8768 [1 per cell]
O  0.4478  0.5558  0.8758 [1 per cell]
O  0.9731  0.5843  0.3964 [1 per cell]
O  0.9767  0.0451  0.3941 [1 per cell]
O  0.9920  0.5543  0.8752 [1 per cell]



[3]
Theoretical XRD peak list
Compound: Ba2MgMnMoO6
Radiation: Cu Kα (λ = 1.5418 Å)
Structure: a DFT-relaxed cell (PBE+U, the Materials Project)
Neutral-atom scattering factors, no anomalous dispersion.

Main lines, most intense first (5° ≤ 2θ ≤ 70°):
(hkl)	2theta	I (rel.)
0 2 1	27.75	100
2 2 -1	27.88	99
2 0 0	30.24	81
0 0 2	43.50	78
2 0 -2	30.80	77
1 3 -1	30.61	75
4 0 -2	43.91	69
1 3 0	30.47	62
1 1 0	17.37	52
0 4 0	35.44	33

Atomic structure:
Cell lengths 8.2529, 10.1355, 5.8068 Å; angles 90.00, 134.25, 90.00 degrees
Space group C2/m (No. 12)
Inequivalent atoms, fractional coordinates:
Ba  0.0000  0.1887  0.0000 [4 per cell]
Mg  0.0000  0.5000  0.0000 [2 per cell]
Mn  0.0000  0.5000  0.5000 [2 per cell]
Mo  0.0000  0.0000  0.5000 [2 per cell]
O  0.0000  0.2036  0.5000 [4 per cell]
O  0.2384  0.5000  0.9937 [4 per cell]
O  0.2390  0.5000  0.4803 [4 per cell]



[4]
Theoretical XRD peak list
Compound: Ba3MgMnNb2O9
Radiation: Cu Kα (λ = 1.5418 Å)
Structure: a DFT-relaxed cell (PBE+U, the Materials Project)
Neutral-atom scattering factors, no anomalous dispersion.

Main lines, most intense first (5° ≤ 2θ ≤ 70°):
(hkl)	2theta	I (rel.)
0 1 2	30.20	100
1 -1 2	28.94	87
1 -2 0	28.58	72
2 0 2	43.29	72
2 -1 0	30.26	62
4 -2 0	62.89	20
1 0 4	53.11	19
3 -2 2	52.94	16
0 2 -2	38.87	16
0 1 -2	27.73	16

Atomic structure:
Cell lengths 5.9079, 6.2797, 7.4511 Å; angles 94.56, 90.06, 118.05 degrees
Space group P1 (No. 1)
Inequivalent atoms, fractional coordinates:
Ba  0.0000  0.0000  0.0000 [1 per cell]
Ba  0.2630  0.5265  0.6655 [1 per cell]
Ba  0.7027  0.4035  0.2712 [1 per cell]
Mg  0.4856  0.9738  0.4884 [1 per cell]
Mn  0.3516  0.7037  0.1208 [1 per cell]
Nb  0.6589  0.3183  0.8259 [1 per cell]
Nb  0.9708  0.9443  0.4999 [1 per cell]
O  0.1091  0.2253  0.3524 [1 per cell]
O  0.1611  0.7962  0.3417 [1 per cell]
O  0.3153  0.1110  0.6624 [1 per cell]
O  0.4964  0.4891  0.9743 [1 per cell]
O  0.5181  0.0371  0.9959 [1 per cell]
O  0.6306  0.7934  0.3434 [1 per cell]
O  0.7935  0.1103  0.6628 [1 per cell]
O  0.8066  0.6134  0.6506 [1 per cell]
O  0.9924  0.4886  0.9742 [1 per cell]



[5]
Theoretical XRD peak list
Compound: Ba3MgMnNb2O9
Radiation: Cu Kα (λ = 1.5418 Å)
Structure: a DFT-relaxed cell (PBE+U, the Materials Project)
Neutral-atom scattering factors, no anomalous dispersion.

Main lines, most intense first (5° ≤ 2θ ≤ 70°):
(hkl)	2theta	I (rel.)
1 1 -2	28.99	100
2 2 2	43.24	47
0 2 0	30.26	38
2 0 2	30.14	38
3 1 -1	30.65	27
1 1 4	52.91	20
4 0 -2	39.65	20
2 2 -4	60.16	11
1 3 -2	52.99	10
4 0 0	33.03	10

Atomic structure:
Cell lengths 10.8791, 5.9068, 7.4639 Å; angles 90.00, 94.37, 90.00 degrees
Space group C2/m (No. 12)
Inequivalent atoms, fractional coordinates:
Ba  0.0000  0.0000  0.0000 [2 per cell]
Ba  0.2212  0.5000  0.3028 [4 per cell]
Mg  0.0000  0.5000  0.5000 [2 per cell]
Mn  0.0000  0.0000  0.5000 [2 per cell]
Nb  0.1621  0.5000  0.8431 [4 per cell]
O  0.0000  0.5000  0.0000 [2 per cell]
O  0.0685  0.2636  0.6707 [8 per cell]
O  0.1977  0.0000  0.3172 [4 per cell]
O  0.2500  0.2500  0.0000 [4 per cell]



[6]
Theoretical XRD peak list
Compound: BaNdMgMn2O5
Radiation: Cu Kα (λ = 1.5418 Å)
Structure: a DFT-relaxed cell (PBE+U, the Materials Project)
Neutral-atom scattering factors, no anomalous dispersion.

Main lines, most intense first (5° ≤ 2θ ≤ 70°):
(hkl)	2theta	I (rel.)
1 1 0	29.07	100
0 1 2	27.66	91
1 0 2	31.51	79
0 2 0	35.47	75
1 1 2	36.27	68
0 0 2	21.23	58
2 0 0	47.00	52
1 2 2	48.17	47
2 2 0	60.25	37
1 0 3	39.85	34

Atomic structure:
Cell lengths 3.8660, 5.0610, 8.3693 Å; angles 90.00, 90.00, 90.00 degrees
Space group Pmm2 (No. 25)
Inequivalent atoms, fractional coordinates:
Ba  0.0000  0.0000  0.0000 [1 per cell]
Nd  0.0000  0.0000  0.5625 [1 per cell]
Mg  0.0000  0.5000  0.1887 [1 per cell]
Mn  0.5000  0.5000  0.4386 [1 per cell]
Mn  0.5000  0.5000  0.8245 [1 per cell]
O  0.0000  0.5000  0.4328 [1 per cell]
O  0.0000  0.5000  0.9165 [1 per cell]
O  0.5000  0.0000  0.4183 [1 per cell]
O  0.5000  0.0000  0.7957 [1 per cell]
O  0.5000  0.5000  0.1700 [1 per cell]



[7]
Theoretical XRD peak list
Compound: BaNdMgMn2O5
Radiation: Cu Kα (λ = 1.5418 Å)
Structure: a DFT-relaxed cell (PBE+U, the Materials Project)
Neutral-atom scattering factors, no anomalous dispersion.

Main lines, most intense first (5° ≤ 2θ ≤ 70°):
(hkl)	2theta	I (rel.)
0 0 1	7.93	100
1 1 0	31.73	61
1 0 3	33.66	61
0 1 3	32.22	42
0 1 2	26.64	41
0 0 3	23.95	32
1 0 2	28.34	31
1 1 3	40.14	28
1 1 5	52.31	27
1 2 3	55.90	27

Atomic structure:
Cell lengths 3.8172, 4.1833, 11.1464 Å; angles 90.00, 90.00, 90.00 degrees
Space group Pmm2 (No. 25)
Inequivalent atoms, fractional coordinates:
Ba  0.0000  0.0000  0.0000 [1 per cell]
Nd  0.0000  0.0000  0.3651 [1 per cell]
Mg  0.0000  0.0000  0.6615 [1 per cell]
Mn  0.5000  0.5000  0.1962 [1 per cell]
Mn  0.5000  0.5000  0.5806 [1 per cell]
O  0.0000  0.5000  0.2911 [1 per cell]
O  0.0000  0.5000  0.6384 [1 per cell]
O  0.5000  0.0000  0.2412 [1 per cell]
O  0.5000  0.0000  0.5318 [1 per cell]
O  0.5000  0.5000  0.0155 [1 per cell]



[8]
Theoretical XRD peak list
Compound: BaMgMn4O8
Radiation: Cu Kα (λ = 1.5418 Å)
Structure: a DFT-relaxed cell (PBE+U, the Materials Project)
Neutral-atom scattering factors, no anomalous dispersion.

Main lines, most intense first (5° ≤ 2θ ≤ 70°):
(hkl)	2theta	I (rel.)
4 0 -2	24.43	100
2 0 -3	27.88	74
4 0 -1	26.83	69
3 1 0	37.50	65
3 1 -1	33.41	55
3 1 -3	38.41	55
1 1 -2	33.72	50
5 1 -4	46.31	46
1 1 0	28.53	41
3 1 1	44.99	29

Atomic structure:
Cell lengths 14.5703, 3.2752, 10.0699 Å; angles 90.00, 133.53, 90.00 degrees
Space group C2 (No. 5)
Inequivalent atoms, fractional coordinates:
Ba  0.0000  0.0000  0.0000 [2 per cell]
Mg  0.0000  0.8953  0.5000 [2 per cell]
Mn  0.1516  0.1119  0.4625 [4 per cell]
Mn  0.1682  0.4137  0.8327 [4 per cell]
O  0.0307  0.0023  0.7237 [4 per cell]
O  0.1285  0.4322  0.6024 [4 per cell]
O  0.1644  0.6438  0.3466 [4 per cell]
O  0.2033  0.3707  0.0563 [4 per cell]



[9]
Theoretical XRD peak list
Compound: BaMg6MnO8
Radiation: Cu Kα (λ = 1.5418 Å)
Structure: a DFT-relaxed cell (PBE+U, the Materials Project)
Neutral-atom scattering factors, no anomalous dispersion.

Main lines, most intense first (5° ≤ 2θ ≤ 70°):
(hkl)	2theta	I (rel.)
2 0 0	38.43	100
1 1 2	33.72	56
2 0 4	57.07	52
1 0 0	18.94	50
1 0 2	27.64	42
0 0 4	40.51	40
2 2 0	55.48	31
0 0 2	19.94	24
1 1 0	26.91	22
1 0 1	21.43	19

Atomic structure:
Cell lengths 4.6849, 4.6849, 8.9068 Å; angles 90.00, 90.00, 90.00 degrees
Space group P4/mmm (No. 123)
Inequivalent atoms, fractional coordinates:
Ba  0.0000  0.0000  0.0000 [1 per cell]
Mg  0.0000  0.5000  0.2656 [4 per cell]
Mg  0.5000  0.5000  0.0000 [1 per cell]
Mg  0.5000  0.5000  0.5000 [1 per cell]
Mn  0.0000  0.0000  0.5000 [1 per cell]
O  0.0000  0.0000  0.2769 [2 per cell]
O  0.0000  0.5000  0.0000 [2 per cell]
O  0.0000  0.5000  0.5000 [2 per cell]
O  0.5000  0.5000  0.2540 [2 per cell]



[10]
Theoretical XRD peak list
Compound: BaMgMn4O8
Radiation: Cu Kα (λ = 1.5418 Å)
Structure: a DFT-relaxed cell (PBE+U, the Materials Project)
Neutral-atom scattering factors, no anomalous dispersion.

Main lines, most intense first (5° ≤ 2θ ≤ 70°):
(hkl)	2theta	I (rel.)
4 0 0	30.87	100
3 1 -1	34.20	44
1 1 -2	34.64	33
4 2 0	67.34	27
1 1 1	33.11	26
3 1 -3	40.79	26
0 0 3	34.99	25
3 1 2	50.88	25
0 2 0	58.22	20
2 0 -1	12.93	20

Atomic structure:
Cell lengths 14.0421, 3.1696, 9.3326 Å; angles 90.00, 124.47, 90.00 degrees
Space group Cm (No. 8)
Inequivalent atoms, fractional coordinates:
Ba  0.0000  0.0000  0.0000 [2 per cell]
Mg  0.2661  0.0000  0.3027 [2 per cell]
Mn  0.2276  0.5000  0.9399 [2 per cell]
Mn  0.2498  0.0000  0.6070 [2 per cell]
Mn  0.4563  0.5000  0.6254 [2 per cell]
Mn  0.4957  0.0000  0.3190 [2 per cell]
O  0.0913  0.0000  0.3481 [2 per cell]
O  0.1188  0.0000  0.8216 [2 per cell]
O  0.1998  0.5000  0.1290 [2 per cell]
O  0.2517  0.5000  0.7442 [2 per cell]
O  0.2870  0.5000  0.4786 [2 per cell]
O  0.3524  0.0000  0.0647 [2 per cell]
O  0.4330  0.0000  0.7410 [2 per cell]
O  0.4452  0.0000  0.4760 [2 per cell]



[11]
Theoretical XRD peak list
Compound: BaMgMn4O8
Radiation: Cu Kα (λ = 1.5418 Å)
Structure: a DFT-relaxed cell (PBE+U, the Materials Project)
Neutral-atom scattering factors, no anomalous dispersion.

Main lines, most intense first (5° ≤ 2θ ≤ 70°):
(hkl)	2theta	I (rel.)
1 0 2	31.01	100
1 1 0	32.63	97
2 0 2	45.63	38
2 -1 4	61.25	37
2 1 2	57.22	36
2 -1 1	34.96	32
1 0 1	22.36	31
3 0 0	58.24	30
0 0 4	50.29	18
0 0 1	12.20	15

Atomic structure:
Cell lengths 5.4881, 5.4881, 7.2571 Å; angles 90.00, 90.00, 120.00 degrees
Space group P-31m (No. 162)
Inequivalent atoms, fractional coordinates:
Ba  0.0000  0.0000  0.0000 [1 per cell]
Mg  0.0000  0.0000  0.5000 [1 per cell]
Mn  0.3333  0.6667  0.2611 [4 per cell]
O  0.0000  0.3104  0.3189 [6 per cell]
O  0.3333  0.6667  0.0000 [2 per cell]



[12]
Theoretical XRD peak list
Compound: BaMg6MnO8
Radiation: Cu Kα (λ = 1.5418 Å)
Structure: a DFT-relaxed cell (PBE+U, the Materials Project)
Neutral-atom scattering factors, no anomalous dispersion.

Main lines, most intense first (5° ≤ 2θ ≤ 70°):
(hkl)	2theta	I (rel.)
2 0 0	38.53	100
0 0 1	9.95	72
1 1 2	33.80	56
2 0 4	57.20	51
0 0 4	40.58	39
1 1 1	28.83	38
2 2 0	55.63	31
0 0 2	19.97	25
1 1 0	26.98	22
1 0 1	21.48	19

Atomic structure:
Cell lengths 4.6729, 4.6729, 8.8915 Å; angles 90.00, 90.00, 90.00 degrees
Space group P4/mmm (No. 123)
Inequivalent atoms, fractional coordinates:
Ba  0.0000  0.0000  0.0000 [1 per cell]
Mg  0.0000  0.0000  0.5000 [1 per cell]
Mg  0.0000  0.5000  0.2686 [4 per cell]
Mg  0.5000  0.5000  0.5000 [1 per cell]
Mn  0.5000  0.5000  0.0000 [1 per cell]
O  0.0000  0.0000  0.2830 [2 per cell]
O  0.0000  0.5000  0.0000 [2 per cell]
O  0.0000  0.5000  0.5000 [2 per cell]
O  0.5000  0.5000  0.2601 [2 per cell]